For In2GaCu2Pd5, a DFT-relaxed cell (GGA-PBE, Alexandria) gives the theoretical XRD peak list in this record (Cu Kα (λ = 1.5418 Å)).

Structure:
```
data_In2GaCu2Pd5
_chemical_formula_sum 'In4 Ga2 Cu4 Pd10'
_cell_length_a 9.302
_cell_length_b 9.302
_cell_length_c 3.781
_cell_angle_alpha 90.00
_cell_angle_beta 90.00
_cell_angle_gamma 90.00
_symmetry_space_group_name_H-M 'P 4/m b m'
_symmetry_Int_Tables_number 127
_symmetry_space_group_name_Hall '-P 4 2ab'
loop_
_atom_site_label
_atom_site_type_symbol
_atom_site_fract_x
_atom_site_fract_y
_atom_site_fract_z
In1 In 0.165 0.335 0.000
Ga1 Ga 0.000 0.000 0.000
Cu1 Cu 0.130 0.630 0.000
Pd1 Pd 0.000 0.500 0.500
Pd2 Pd 0.097 0.816 0.500
```

Largest 12 diffraction maxima, sorted by position, 10° ≤ 2θ ≤ 80°:
- (2 2 0), 27.2°, intensity 7
- (2 1 1), 32.0°, intensity 15
- (3 1 1), 38.8°, intensity 100
- (4 1 0), 40.0°, intensity 23
- (3 2 1), 42.4°, intensity 21
- (4 2 0), 43.5°, intensity 14
- (0 0 2), 48.1°, intensity 19
- (4 4 0), 55.9°, intensity 6
- (4 1 2), 64.3°, intensity 11
- (4 2 2), 66.9°, intensity 7
- (6 2 1), 68.4°, intensity 6
- (7 2 1), 79.1°, intensity 12